Record 1
Diffraction record for Tb6TmSc2. The powder diffractogram is simulated, not measured: it uses a GGA-PBE-relaxed structure and Cu Kα.
Peak positions follow from Bragg's law for the DFT cell and can differ from measured ones.

Crystal structure
```
data_Tb6TmSc2
_chemical_formula_sum 'Tb24 Tm4 Sc8'
_cell_length_a 5.5100
_cell_length_b 9.5145
_cell_length_c 20.5084
_cell_angle_alpha 90.00
_cell_angle_beta 90.00
_cell_angle_gamma 90.00
_symmetry_space_group_name_H-M 'I b a m'
_symmetry_Int_Tables_number 72
_symmetry_space_group_name_Hall '-I 2 2c'
loop_
_atom_site_label
_atom_site_type_symbol
_atom_site_fract_x
_atom_site_fract_y
_atom_site_fract_z
_atom_site_occupancy
Tb1 Tb 0.0000 0.0000 0.0801 1
Tb2 Tb 0.0076 0.3330 0.1641 1
Tm1 Tm 0.0000 0.0000 0.2500 1
Sc1 Sc 0.0055 0.3332 0.5000 1
```

Most intense lines, 5 to 70 degrees two-theta, sorted by position:
two_theta  I (rel.)  (hkl)
8.6  19  0 0 2
25.5  7  0 2 4
32.2  100  0 2 6
32.6  100  1 3 0
46.5  36  2 2 6
53.6  8  0 0 12
57.8  25  3 1 6
58.0  25  3 3 0
64.2  27  1 3 12
68.2  8  2 6 0

=====

Record 2
Diffraction record for HoW3N6. The powder diffractogram is simulated, not measured: it uses a GGA-PBE-relaxed structure and Cu Kα.
Peak positions follow from Bragg's law for the DFT cell and can differ from measured ones.

Crystal structure
```
data_HoW3N6
_chemical_formula_sum 'Ho2 W6 N12'
_cell_length_a 3.0288
_cell_length_b 8.7117
_cell_length_c 8.7442
_cell_angle_alpha 72.38
_cell_angle_beta 89.51
_cell_angle_gamma 89.54
_symmetry_space_group_name_H-M 'P -1'
_symmetry_Int_Tables_number 2
loop_
_symmetry_equiv_pos_as_xyz
'x,y,z'
'-x,-y,-z'
loop_
_atom_site_label
_atom_site_type_symbol
_atom_site_fract_x
_atom_site_fract_y
_atom_site_fract_z
_atom_site_occupancy
Ho1 Ho 0.2469 0.3056 0.0543 1
W1 W 0.2274 0.9227 0.1671 1
W2 W 0.2552 0.4815 0.6778 1
W3 W 0.2840 0.1468 0.4353 1
N1 N 0.2375 0.9140 0.3910 1
N2 N 0.2424 0.7374 0.7159 1
N3 N 0.2485 0.3879 0.4766 1
N4 N 0.2521 0.5336 0.1528 1
N5 N 0.2549 0.2404 0.7930 1
N6 N 0.2590 0.9093 0.9237 1
```

Most intense lines, 5 to 70 degrees two-theta, sorted by position:
two_theta  I (rel.)  (hkl)
30.7  100  0 1 3
30.8  79  0 3 1
32.3  28  -1 1 1
34.3  45  1 1 -1
34.8  59  0 2 -2
36.2  31  1 2 1
36.6  32  -1 2 1
40.3  26  1 1 -2
59.8  22  0 1 -5
61.2  21  2 0 0